Diffraction record for MnP5O15. The X-ray powder pattern is computed, not measured: it uses DFT lattice parameters and positions (GGA+U) and Cu Kα.
Intensities are scaled so that the largest is 100.

Most intense lines, 10 to 80 degrees two-theta, by angle:
2theta	I (rel.)	(hkl)
11.72	100	0 1 1
13.05	39	0 2 0
16.31	62	0 2 1
18.76	100	1 0 -1
19.55	72	0 0 2
21.95	45	0 3 1
22.92	31	1 2 -1
25.36	75	1 2 1
29.50	30	0 0 3
31.87	40	1 4 0

Structural model:
a = 5.0768 Å, b = 13.5709 Å, c = 9.2111 Å
α = 90.00°, β = 99.57°, γ = 90.00°
Space group P2_1/m (No. 11)
One atom of each set of equivalent atoms:
Mn: 0.0000 0.0000 0.0000 x2
P: 0.0019 0.2500 0.5204 x2
P: 0.1561 0.0703 0.6878 x4
P: 0.4933 0.1391 0.9644 x4
O: 0.0088 0.0128 0.7929 x4
O: 0.0413 0.6607 0.3716 x4
O: 0.2005 0.7500 0.6201 x2
O: 0.2069 0.6224 0.0013 x4
O: 0.2723 0.0162 0.5766 x4
O: 0.2732 0.2500 0.4731 x2
O: 0.3269 0.0748 0.0498 x4
O: 0.3931 0.1350 0.7940 x4
O: 0.4436 0.2500 0.0108 x2